Theoretical powder diffractogram of KPmVF6 for Cu Kα X-rays, from DFT lattice parameters and positions (PBE+U).

Main lines, in order of rising 2θ (2θ = 15–90°):
| 2θ/deg | I (rel.) | index |
| --- | --- | --- |
| 15.6 | 47 | 0 0 2 |
| 25.2 | 100 | 1 2 1 |
| 26.0 | 31 | 1 0 3 |
| 26.3 | 39 | 0 2 2 |
| 27.4 | 59 | 2 0 2 |
| 33.8 | 38 | 1 2 3 |
| 39.0 | 21 | 2 0 4 |
| 44.7 | 25 | 2 2 4 |
| 46.8 | 24 | 1 2 5 |
| 51.7 | 23 | 2 4 2 |

Structural model:
Cell: 7.9567 8.4203 11.3634 Å, 90.00 90.00 90.00°
Space group Imma (No. 74)
Unique sites:
K 0.0000 0.2500 0.0151 [4 per cell]
Pm 0.0000 0.0000 0.5000 [4 per cell]
V 0.2500 0.2500 0.7500 [4 per cell]
F 0.0000 0.2500 0.4199 [4 per cell]
F 0.0000 0.2500 0.7940 [4 per cell]
F 0.2195 0.0780 0.6134 [16 per cell]